Structure and calculated X-ray diffraction stick pattern of K7TaTe6 (a DFT-relaxed cell (GGA-PBE, Alexandria); Cu Kα (λ = 1.5418 Å)).

Atomic structure:
Cell: 9.0575 15.8952 18.8821 Å, 90.00 90.00 90.00°
Space group Ibam (No. 72)
Symmetry-distinct sites (fractional):
1 K 0.0000 0.0000 0.2500 (multiplicity 4)
2 K 0.1338 0.2829 0.1138 (multiplicity 16)
3 K 0.2146 0.0387 0.0000 (multiplicity 8)
4 Ta 0.0000 0.5000 0.2500 (multiplicity 4)
5 Te 0.0890 0.1651 0.5000 (multiplicity 8)
6 Te 0.1745 0.4034 0.3257 (multiplicity 16)

Most intense lines, 10° ≤ 2θ ≤ 90°, in order of rising 2θ:
- 11.2°, I = 20
- 14.6°, I = 100
- 20.5°, I = 47
- 24.9°, I = 21
- 27.1°, I = 19
- 29.6°, I = 22
- 31.3°, I = 19
- 31.4°, I = 15
- 36.4°, I = 13
- 45.9°, I = 15